1.
Diffraction record for Li2MgMn3O8. The powder diffractogram is computed, not measured: it uses the PBE+U geometry in the Materials Project and λ = 1.5418 Å (Cu Kα).
No peak broadening, texture or thermal motion is included.

Principal peaks in the range 10° ≤ 2θ ≤ 80°, sorted by position:
- (1 1 0), 2θ 15.04, d = 5.890 Å, intensity 11.2
- (1 1 1), 2θ 18.45, d = 4.809 Å, intensity 100.0
- (2 1 0), 2θ 23.89, d = 3.725 Å, intensity 8.7
- (3 1 1), 2θ 35.75, d = 2.512 Å, intensity 45.4
- (4 0 0), 2θ 43.45, d = 2.082 Å, intensity 58.0
- (3 3 1), 2θ 47.58, d = 1.911 Å, intensity 8.3
- (5 1 1), 2θ 57.49, d = 1.603 Å, intensity 20.4
- (4 4 0), 2θ 63.14, d = 1.473 Å, intensity 33.9
- (5 3 1), 2θ 66.39, d = 1.408 Å, intensity 13.3
- (4 4 4), 2θ 79.76, d = 1.202 Å, intensity 8.3

Structure:
a = 8.3300 Å, b = 8.3300 Å, c = 8.3300 Å
α = 90.00°, β = 90.00°, γ = 90.00°
Space group P4_332 (No. 212)
Symmetry-distinct sites (fractional):
Li (0.0033, 0.0033, 0.0033) x8
Mg (0.1250, 0.8750, 0.3750) x4
Mn (0.1199, 0.1301, 0.6250) x12
O (0.0992, 0.1250, 0.3927) x24
O (0.1156, 0.6156, 0.8844) x8

---

2.
Diffraction record for CaNdMn2O6. The powder diffractogram is computed, not measured: it uses the PBE+U geometry in the Materials Project and λ = 1.5418 Å (Cu Kα).
No peak broadening, texture or thermal motion is included.

Principal peaks in the range 10° ≤ 2θ ≤ 80°, sorted by position:
- (1 2 0), 2θ 15.83, d = 5.598 Å, intensity 16.9
- (1 1 1), 2θ 20.64, d = 4.303 Å, intensity 21.4
- (0 0 2), 2θ 32.72, d = 2.737 Å, intensity 23.9
- (2 3 1), 2θ 32.87, d = 2.725 Å, intensity 100.0
- (0 6 0), 2θ 32.98, d = 2.716 Å, intensity 24.4
- (4 0 0), 2θ 47.16, d = 1.927 Å, intensity 48.8
- (2 3 3), 2θ 58.50, d = 1.578 Å, intensity 15.1
- (2 9 1), 2θ 58.81, d = 1.570 Å, intensity 32.1
- (4 6 2), 2θ 68.92, d = 1.362 Å, intensity 16.1
- (6 3 1), 2θ 78.50, d = 1.219 Å, intensity 13.6

Structure:
a = 7.7025 Å, b = 16.2972 Å, c = 5.4738 Å
α = 90.00°, β = 90.00°, γ = 90.00°
Space group Pmc2_1 (No. 26)
Symmetry-distinct sites (fractional):
Ca (0.0000, 0.0779, 0.0000) x2
Ca (0.0000, 0.4163, 0.9945) x2
Ca (0.5000, 0.2469, 0.4145) x2
Nd (0.0000, 0.2520, 0.4893) x2
Nd (0.5000, 0.0889, 0.9179) x2
Nd (0.5000, 0.4154, 0.9248) x2
Mn (0.2470, 0.0826, 0.4554) x4
Mn (0.2472, 0.2493, 0.9571) x4
Mn (0.2473, 0.4166, 0.4559) x4
O (0.0000, 0.1043, 0.4402) x2
O (0.0000, 0.2240, 0.9448) x2
O (0.0000, 0.4397, 0.4372) x2
O (0.2102, 0.3449, 0.7420) x4
O (0.2150, 0.3233, 0.2352) x4
O (0.2184, 0.0143, 0.7487) x4
O (0.2812, 0.1552, 0.1744) x4
O (0.2866, 0.1793, 0.6667) x4
O (0.2917, 0.4910, 0.1792) x4
O (0.5000, 0.0605, 0.4632) x2
O (0.5000, 0.2679, 0.9715) x2
O (0.5000, 0.3922, 0.4664) x2

---

What is the formula in the second record?
CaNdMn2O6